Record 1
GdTmIr2: theoretical XRD peak list (copper Kα), based on DFT lattice parameters and positions (PBE).
Neutral-atom scattering factors, no anomalous dispersion.

Structural model:
```
data_GdTmIr2
_chemical_formula_sum 'Gd4 Tm4 Ir8'
_symmetry_space_group_name_H-M 'F m -3 m'
_symmetry_Int_Tables_number 225
_symmetry_space_group_name_Hall '-F 4 2 3'
_cell_length_a 6.844
_cell_length_b 6.844
_cell_length_c 6.844
_cell_angle_alpha 90.00
_cell_angle_beta 90.00
_cell_angle_gamma 90.00
loop_
_atom_site_label
_atom_site_type_symbol
_atom_site_fract_x
_atom_site_fract_y
_atom_site_fract_z
_atom_site_occupancy
Gd1 Gd 0.000 0.000 0.000 1
Tm1 Tm 0.000 0.000 0.500 1
Ir1 Ir 0.250 0.250 0.250 1
```

Principal peaks in the range 10° ≤ 2θ ≤ 90°, low angle first:
hkl	2theta	intensity
2 0 0	26.04	1
2 2 0	37.16	100
4 0 0	53.56	18
4 2 2	66.98	36
4 4 0	79.16	11



Record 2
GdYIr2: theoretical XRD peak list (copper Kα), based on DFT lattice parameters and positions (PBE).
Neutral-atom scattering factors, no anomalous dispersion.

Structural model:
```
data_GdYIr2
_chemical_formula_sum 'Gd4 Y4 Ir8'
_symmetry_space_group_name_H-M 'F m -3 m'
_symmetry_Int_Tables_number 225
_symmetry_space_group_name_Hall '-F 4 2 3'
_cell_length_a 6.899
_cell_length_b 6.899
_cell_length_c 6.899
_cell_angle_alpha 90.00
_cell_angle_beta 90.00
_cell_angle_gamma 90.00
loop_
_atom_site_label
_atom_site_type_symbol
_atom_site_fract_x
_atom_site_fract_y
_atom_site_fract_z
_atom_site_occupancy
Gd1 Gd 0.000 0.000 0.000 1
Y1 Y 0.000 0.000 0.500 1
Ir1 Ir 0.250 0.250 0.250 1
```

Principal peaks in the range 10° ≤ 2θ ≤ 90°, low angle first:
hkl	2theta	intensity
1 1 1	22.32	2
2 0 0	25.83	5
2 2 0	36.85	100
4 0 0	53.10	18
4 2 0	59.97	2
4 2 2	66.38	36
4 4 0	78.42	11
6 2 0	89.94	17



Record 3
KNaGdTaO5: theoretical XRD peak list (copper Kα), based on DFT lattice parameters and positions (PBE).
Neutral-atom scattering factors, no anomalous dispersion.

Structural model:
```
data_KNaGdTaO5
_chemical_formula_sum 'K2 Na2 Gd2 Ta2 O10'
_symmetry_space_group_name_H-M 'P 4/n m m'
_symmetry_Int_Tables_number 129
_cell_length_a 5.723
_cell_length_b 5.723
_cell_length_c 8.307
_cell_angle_alpha 90.00
_cell_angle_beta 90.00
_cell_angle_gamma 90.00
loop_
_symmetry_equiv_pos_as_xyz
'x,y,z'
'-x,-y,-z'
'-y+1/2,x,z'
'y+1/2,-x,-z'
'-x+1/2,-y+1/2,z'
'x+1/2,y+1/2,-z'
'y,-x+1/2,z'
'-y,x+1/2,-z'
'x+1/2,-y,-z'
'-x+1/2,y,z'
'-y,-x,-z'
'y,x,z'
'-x,y+1/2,-z'
'x,-y+1/2,z'
'y+1/2,x+1/2,-z'
'-y+1/2,-x+1/2,z'
loop_
_atom_site_label
_atom_site_type_symbol
_atom_site_fract_x
_atom_site_fract_y
_atom_site_fract_z
_atom_site_occupancy
K1 K 0.250 0.750 0.000 1
Na1 Na 0.250 0.250 0.241 1
Gd1 Gd 0.250 0.750 0.500 1
Ta1 Ta 0.250 0.250 0.739 1
O1 O 0.018 0.018 0.667 1
O2 O 0.250 0.250 0.963 1
```

Principal peaks in the range 10° ≤ 2θ ≤ 90°, low angle first:
hkl	2theta	intensity
0 0 1	10.65	40
1 0 1	18.83	61
1 1 2	30.85	100
2 0 0	31.26	40
2 1 1	36.74	20
2 2 0	44.79	27
2 0 4	54.60	25
3 1 2	55.37	39



Record 4
KGdNb4O12: theoretical XRD peak list (copper Kα), based on DFT lattice parameters and positions (PBE).
Neutral-atom scattering factors, no anomalous dispersion.

Structural model:
```
data_KGdNb4O12
_chemical_formula_sum 'K2 Gd2 Nb8 O24'
_symmetry_space_group_name_H-M 'A m m 2'
_symmetry_Int_Tables_number 38
_symmetry_space_group_name_Hall 'A 2 -2'
_cell_length_a 7.972
_cell_length_b 7.894
_cell_length_c 7.951
_cell_angle_alpha 90.00
_cell_angle_beta 90.00
_cell_angle_gamma 90.00
loop_
_atom_site_label
_atom_site_type_symbol
_atom_site_fract_x
_atom_site_fract_y
_atom_site_fract_z
_atom_site_occupancy
K1 K 0.000 0.000 0.000 1
Gd1 Gd 0.500 0.000 0.457 1
Nb1 Nb 0.248 0.246 0.740 1
O1 O 0.000 0.218 0.730 1
O2 O 0.234 0.000 0.270 1
O3 O 0.262 0.222 0.983 1
O4 O 0.303 0.000 0.687 1
O5 O 0.500 0.210 0.248 1
```

Principal peaks in the range 10° ≤ 2θ ≤ 90°, low angle first:
hkl	2theta	intensity
1 1 1	19.37	52
0 0 2	22.33	33
2 0 2	31.79	45
2 2 0	31.93	100
3 1 1	37.49	18
4 0 0	45.51	19
4 2 2	56.72	40
2 4 2	56.99	20



Record 5
K2GdNb5O15: theoretical XRD peak list (copper Kα), based on DFT lattice parameters and positions (PBE).
Neutral-atom scattering factors, no anomalous dispersion.

Structural model:
```
data_K2GdNb5O15
_chemical_formula_sum 'K4 Gd2 Nb10 O30'
_symmetry_space_group_name_H-M 'P 4/m b m'
_symmetry_Int_Tables_number 127
_symmetry_space_group_name_Hall '-P 4 2ab'
_cell_length_a 12.761
_cell_length_b 12.761
_cell_length_c 3.961
_cell_angle_alpha 90.00
_cell_angle_beta 90.00
_cell_angle_gamma 90.00
loop_
_atom_site_label
_atom_site_type_symbol
_atom_site_fract_x
_atom_site_fract_y
_atom_site_fract_z
_atom_site_occupancy
K1 K 0.170 0.330 0.000 1
Gd1 Gd 0.000 0.000 0.000 1
Nb1 Nb 0.000 0.500 0.500 1
Nb2 Nb 0.077 0.788 0.500 1
O1 O 0.000 0.500 0.000 1
O2 O 0.001 0.342 0.500 1
O3 O 0.058 0.131 0.500 1
O4 O 0.079 0.813 0.000 1
O5 O 0.217 0.717 0.500 1
```

Principal peaks in the range 10° ≤ 2θ ≤ 90°, low angle first:
hkl	2theta	intensity
2 0 0	13.88	43
3 2 0	25.16	42
2 1 1	27.41	34
4 1 0	28.85	50
2 2 1	30.02	35
4 2 0	31.35	48
3 1 1	31.65	100
5 5 1	56.00	48



Record 6
KGdNb2O6: theoretical XRD peak list (copper Kα), based on DFT lattice parameters and positions (PBE).
Neutral-atom scattering factors, no anomalous dispersion.

Structural model:
```
data_KGdNb2O6
_chemical_formula_sum 'K4 Gd4 Nb8 O24'
_symmetry_space_group_name_H-M 'F m -3 m'
_symmetry_Int_Tables_number 225
_symmetry_space_group_name_Hall '-F 4 2 3'
_cell_length_a 8.126
_cell_length_b 8.126
_cell_length_c 8.126
_cell_angle_alpha 90.00
_cell_angle_beta 90.00
_cell_angle_gamma 90.00
loop_
_atom_site_label
_atom_site_type_symbol
_atom_site_fract_x
_atom_site_fract_y
_atom_site_fract_z
_atom_site_occupancy
K1 K 0.000 0.000 0.000 1
Gd1 Gd 0.000 0.000 0.500 1
Nb1 Nb 0.250 0.250 0.250 1
O1 O 0.000 0.250 0.250 1
```

Principal peaks in the range 10° ≤ 2θ ≤ 90°, low angle first:
hkl	2theta	intensity
1 1 1	18.91	23
2 2 0	31.13	100
3 1 1	36.68	14
4 0 0	44.60	34
4 2 2	55.39	39
4 4 0	64.91	20
6 2 0	73.74	17
4 4 4	82.18	7